Starting from the PBE geometry in Alexandria, the powder XRD pattern of PmMgS2 was simulated for copper Kα.
Kinematic intensities with the Lorentz-polarization factor, no thermal factor.

Crystal structure
```
data_PmMgS2
_space_group_name_H-M_alt 'R 3 m'
_space_group_IT_number 160
_space_group_name_Hall 'R 3 -2"'
_cell_length_a 3.7967
_cell_length_b 3.7967
_cell_length_c 20.1273
_cell_angle_alpha 90.00
_cell_angle_beta 90.00
_cell_angle_gamma 120.00
loop_
_atom_site_label
_atom_site_type_symbol
_atom_site_fract_x
_atom_site_fract_y
_atom_site_fract_z
Pm1 Pm 0.0000 0.0000 0.0000
Mg1 Mg 0.0000 0.0000 0.8310
S1 S 0.0000 0.0000 0.2400
S2 S 0.0000 0.0000 0.4273
```

Peak list (10 most intense, 2θ from 10° to 80°, by angle)
| 2θ (°) | I_rel |
| --- | --- |
| 13.20 | 91 |
| 27.49 | 79 |
| 28.56 | 66 |
| 32.53 | 73 |
| 35.24 | 100 |
| 41.73 | 49 |
| 45.39 | 20 |
| 47.92 | 53 |
| 49.93 | 21 |
| 75.66 | 23 |


Starting from the PBE geometry in Alexandria, the powder XRD pattern of LiNi2B4 was simulated for copper Kα.
Kinematic intensities with the Lorentz-polarization factor, no thermal factor.

Crystal structure
```
data_LiNi2B4
_space_group_name_H-M_alt 'I m m m'
_space_group_IT_number 71
_space_group_name_Hall '-I 2 2'
_cell_length_a 2.958
_cell_length_b 3.014
_cell_length_c 12.521
_cell_angle_alpha 90.00
_cell_angle_beta 90.00
_cell_angle_gamma 90.00
loop_
_atom_site_label
_atom_site_type_symbol
_atom_site_fract_x
_atom_site_fract_y
_atom_site_fract_z
Li1 Li 0.000 0.000 0.000
Ni1 Ni 0.000 0.500 0.311
B1 B 0.000 0.000 0.430
B2 B 0.000 0.500 0.144
```

Peak list (10 most intense, 2θ from 10° to 80°, by angle)
| 2θ (°) | I_rel |
| --- | --- |
| 14.15 | 100 |
| 31.06 | 11 |
| 36.78 | 32 |
| 37.26 | 32 |
| 42.83 | 30 |
| 45.33 | 40 |
| 47.19 | 27 |
| 47.58 | 17 |
| 62.59 | 12 |
| 75.64 | 8 |


Starting from the PBE geometry in Alexandria, the powder XRD pattern of Mn4Pt3 was simulated for copper Kα.
Kinematic intensities with the Lorentz-polarization factor, no thermal factor.

Crystal structure
```
data_Mn4Pt3
_space_group_name_H-M_alt 'P 6/m m m'
_space_group_IT_number 191
_space_group_name_Hall '-P 6 2'
_cell_length_a 5.2410
_cell_length_b 5.2410
_cell_length_c 4.4883
_cell_angle_alpha 90.00
_cell_angle_beta 90.00
_cell_angle_gamma 120.00
loop_
_atom_site_label
_atom_site_type_symbol
_atom_site_fract_x
_atom_site_fract_y
_atom_site_fract_z
Mn1 Mn 0.0000 0.0000 0.2270
Mn2 Mn 0.3333 0.6667 0.0000
Pt1 Pt 0.0000 0.5000 0.5000
```

Peak list (10 most intense, 2θ from 10° to 80°, by angle)
| 2θ (°) | I_rel |
| --- | --- |
| 19.78 | 70 |
| 27.96 | 21 |
| 39.72 | 74 |
| 39.83 | 37 |
| 40.18 | 20 |
| 44.75 | 100 |
| 45.07 | 32 |
| 57.78 | 22 |
| 72.08 | 20 |
| 76.22 | 25 |


Starting from the PBE geometry in Alexandria, the powder XRD pattern of Na2GePCO7 was simulated for copper Kα.
Kinematic intensities with the Lorentz-polarization factor, no thermal factor.

Crystal structure
```
data_Na2GePCO7
_space_group_name_H-M_alt 'P 1 21/m 1'
_space_group_IT_number 11
_space_group_name_Hall '-P 2yb'
_cell_length_a 5.461
_cell_length_b 6.545
_cell_length_c 9.196
_cell_angle_alpha 90.00
_cell_angle_beta 91.78
_cell_angle_gamma 90.00
loop_
_atom_site_label
_atom_site_type_symbol
_atom_site_fract_x
_atom_site_fract_y
_atom_site_fract_z
Na1 Na 0.234 0.009 0.270
Ge1 Ge 0.329 0.250 0.857
P1 P 0.230 0.750 0.915
C1 C 0.243 0.250 0.587
O1 O 0.049 0.250 0.100
O2 O 0.057 0.250 0.676
O3 O 0.223 0.250 0.452
O4 O 0.311 0.750 0.081
O5 O 0.349 0.562 0.839
O6 O 0.460 0.250 0.659
```

Peak list (10 most intense, 2θ from 10° to 80°, by angle)
| 2θ (°) | I_rel |
| --- | --- |
| 16.63 | 100 |
| 18.65 | 53 |
| 21.19 | 51 |
| 23.11 | 71 |
| 25.73 | 71 |
| 27.25 | 78 |
| 32.81 | 45 |
| 33.23 | 56 |
| 33.57 | 70 |
| 34.00 | 46 |


Starting from the PBE geometry in Alexandria, the powder XRD pattern of Ce12Sn3Pb was simulated for copper Kα.
Kinematic intensities with the Lorentz-polarization factor, no thermal factor.

Crystal structure
```
data_Ce12Sn3Pb
_space_group_name_H-M_alt 'P 4/m m m'
_space_group_IT_number 123
_space_group_name_Hall '-P 4 2'
_cell_length_a 4.805
_cell_length_b 4.805
_cell_length_c 19.223
_cell_angle_alpha 90.00
_cell_angle_beta 90.00
_cell_angle_gamma 90.00
loop_
_atom_site_label
_atom_site_type_symbol
_atom_site_fract_x
_atom_site_fract_y
_atom_site_fract_z
Ce1 Ce 0.000 0.000 0.000
Ce2 Ce 0.000 0.000 0.249
Ce3 Ce 0.000 0.000 0.500
Ce4 Ce 0.000 0.500 0.124
Ce5 Ce 0.000 0.500 0.372
Sn1 Sn 0.500 0.500 0.000
Sn2 Sn 0.500 0.500 0.249
Pb1 Pb 0.500 0.500 0.500
```

Peak list (7 most intense, 2θ from 10° to 80°, by angle)
| 2θ (°) | I_rel |
| --- | --- |
| 29.76 | 1 |
| 32.27 | 100 |
| 37.43 | 50 |
| 53.98 | 35 |
| 64.30 | 41 |
| 67.53 | 12 |
| 79.85 | 6 |


Starting from the PBE geometry in Alexandria, the powder XRD pattern of NdEr3Hg4 was simulated for copper Kα.
Kinematic intensities with the Lorentz-polarization factor, no thermal factor.

Crystal structure
```
data_NdEr3Hg4
_space_group_name_H-M_alt 'C 1 2/m 1'
_space_group_IT_number 12
_space_group_name_Hall '-C 2y'
_cell_length_a 14.535
_cell_length_b 5.271
_cell_length_c 5.969
_cell_angle_alpha 90.00
_cell_angle_beta 109.22
_cell_angle_gamma 90.00
loop_
_atom_site_label
_atom_site_type_symbol
_atom_site_fract_x
_atom_site_fract_y
_atom_site_fract_z
Nd1 Nd 0.000 0.000 0.000
Er1 Er 0.000 0.500 0.500
Er2 Er 0.173 0.500 0.081
Hg1 Hg 0.113 0.000 0.637
Hg2 Hg 0.246 0.000 0.332
```

Peak list (10 most intense, 2θ from 10° to 80°, by angle)
| 2θ (°) | I_rel |
| --- | --- |
| 30.05 | 39 |
| 33.63 | 100 |
| 34.02 | 56 |
| 35.65 | 41 |
| 35.76 | 39 |
| 37.24 | 18 |
| 46.02 | 24 |
| 51.32 | 15 |
| 60.63 | 19 |
| 61.98 | 17 |